Diffraction record for Li17Ag2. The X-ray powder pattern is simulated, not measured: it uses a DFT-relaxed cell (GGA-PBE, Alexandria) and Cu Kα, 1.54184 Å.
Lines closer than 0.1° are merged.

Atomic structure:
```
19
Lattice="4.058 2.343 6.137 -4.058 2.343 6.137 0.000 -4.686 6.137" Properties=species:S:1:pos:R:3 pbc="T T T"
Li -4.058 0.000 9.205
Li -1.273 -2.481 6.137
Li -2.029 1.171 3.068
Li -2.785 0.139 6.137
Li 0.000 0.000 1.665
Li -1.475 -0.851 8.126
Li 1.273 -2.481 6.137
Li -1.513 2.343 6.137
Li 0.000 -1.703 10.284
Li -1.475 0.851 10.284
Li 2.029 1.171 3.068
Li 1.475 -0.851 8.126
Li 0.000 1.703 8.126
Li 2.785 0.139 6.137
Li 1.513 2.343 6.137
Li 1.475 0.851 10.284
Li 0.000 0.000 16.746
Ag 0.000 0.000 5.243
Ag 0.000 0.000 13.168
```

Peak list (10 most intense, 10° ≤ 2θ ≤ 90°, in order of rising 2θ)
d (Å)	I/Imax
6.137	21
5.586	100
4.058	57
3.850	22
3.385	26
3.283	25
3.262	28
2.552	38
2.542	23
2.463	19

***

Diffraction record for CaMgCd2Ga2. The X-ray powder pattern is simulated, not measured: it uses a DFT-relaxed cell (GGA-PBE, Alexandria) and Cu Kα, 1.54184 Å.
Lines closer than 0.1° are merged.

Atomic structure:
```
6
Lattice="4.726 0.000 0.000 -2.363 4.093 0.000 0.000 0.000 6.890" Properties=species:S:1:pos:R:3 pbc="T T T"
Ca 0.000 0.000 0.000
Mg 0.000 0.000 3.445
Cd 0.000 2.729 4.969
Cd 2.363 1.364 1.921
Ga 0.000 2.729 1.663
Ga 2.363 1.364 5.227
```

Peak list (10 most intense, 10° ≤ 2θ ≤ 90°, in order of rising 2θ)
d (Å)	I/Imax
4.093	30
3.519	18
3.445	40
2.636	96
2.363	100
1.949	49
1.760	27
1.411	25
1.392	26
1.364	16

***

Diffraction record for Ba3NpAu2S6. The X-ray powder pattern is simulated, not measured: it uses a DFT-relaxed cell (GGA-PBE, Alexandria) and Cu Kα, 1.54184 Å.
Lines closer than 0.1° are merged.

Atomic structure:
```
12
Lattice="7.109 0.000 0.000 -3.554 6.156 0.000 0.000 0.000 7.865" Properties=species:S:1:pos:R:3 pbc="T T T"
Ba 0.000 0.000 0.000
Ba 0.000 4.104 5.047
Ba 3.554 2.052 2.818
Np 0.000 0.000 3.932
Au 0.000 4.104 0.838
Au 3.554 2.052 7.026
S 0.000 2.060 2.426
S -1.771 5.127 2.426
S 1.784 1.030 5.438
S 1.771 5.127 2.426
S 5.325 1.030 5.438
S 3.554 4.097 5.438
```

Peak list (10 most intense, 10° ≤ 2θ ≤ 90°, in order of rising 2θ)
d (Å)	I/Imax
4.848	19
3.554	100
3.314	68
2.637	20
2.424	50
2.052	23
2.003	34
1.873	17
1.777	23
1.502	17

***

Diffraction record for Tm7In2Ge2. The X-ray powder pattern is simulated, not measured: it uses a DFT-relaxed cell (GGA-PBE, Alexandria) and Cu Kα, 1.54184 Å.
Lines closer than 0.1° are merged.

Atomic structure:
```
11
Lattice="4.117 -5.372 0.000 4.117 5.372 0.000 0.000 0.000 7.015" Properties=species:S:1:pos:R:3 pbc="T T T"
Tm 0.000 0.000 0.000
Tm 2.058 2.686 1.864
Tm 2.058 2.686 5.151
Tm 2.058 -2.686 1.864
Tm 2.058 -2.686 5.151
Tm 4.117 0.000 1.783
Tm 4.117 0.000 5.232
In 1.454 0.000 3.508
In 6.780 0.000 3.508
Ge 4.117 2.354 0.000
Ge 4.117 -2.354 0.000
```

Peak list (10 most intense, 10° ≤ 2θ ≤ 90°, in order of rising 2θ)
d (Å)	I/Imax
3.550	32
3.267	76
3.091	55
2.937	25
2.686	65
2.397	39
2.391	100
2.058	21
1.754	22
1.487	20

***

Diffraction record for Cs3SeS3. The X-ray powder pattern is simulated, not measured: it uses a DFT-relaxed cell (GGA-PBE, Alexandria) and Cu Kα, 1.54184 Å.
Lines closer than 0.1° are merged.

Atomic structure:
```
14
Lattice="5.224 -9.007 0.000 5.224 9.007 0.000 0.000 0.000 6.964" Properties=species:S:1:pos:R:3 pbc="T T T"
Cs 5.224 5.662 5.223
Cs 2.924 1.677 5.223
Cs 2.924 -1.677 1.741
Cs 7.525 1.677 5.223
Cs 7.525 -1.677 1.741
Cs 5.224 -5.662 1.741
Se 5.224 3.008 1.741
Se 5.224 -3.008 5.223
S 5.224 5.408 1.741
S 3.144 1.805 1.741
S 3.144 -1.805 5.223
S 7.305 1.805 1.741
S 7.305 -1.805 5.223
S 5.224 -5.408 5.223
```

Peak list (10 most intense, 10° ≤ 2θ ≤ 90°, in order of rising 2θ)
d (Å)	I/Imax
4.514	58
3.788	100
3.482	46
3.415	17
2.759	27
2.603	26
2.437	20
2.090	13
2.085	27
2.064	19

***

Diffraction record for As2C. The X-ray powder pattern is simulated, not measured: it uses a DFT-relaxed cell (GGA-PBE, Alexandria) and Cu Kα, 1.54184 Å.
Lines closer than 0.1° are merged.

Atomic structure:
```
12
Lattice="4.367 0.000 0.000 0.000 4.367 0.000 0.000 0.000 12.611" Properties=species:S:1:pos:R:3 pbc="T T T"
As 0.906 0.906 4.422
As 0.906 3.461 8.189
As 1.278 1.278 10.727
As 1.278 3.089 1.884
As 3.089 1.278 1.884
As 3.089 3.089 10.727
As 3.461 0.906 8.189
As 3.461 3.461 4.422
C 0.000 2.184 3.153
C 0.000 2.184 9.458
C 2.184 0.000 3.153
C 2.184 0.000 9.458
```

Peak list (10 most intense, 10° ≤ 2θ ≤ 90°, in order of rising 2θ)
d (Å)	I/Imax
6.305	36
3.153	25
2.773	100
2.206	20
2.184	20
1.930	15
1.795	20
1.544	17
1.404	12
1.349	11

***

Diffraction record for Na2Pa4Te9. The X-ray powder pattern is simulated, not measured: it uses a DFT-relaxed cell (GGA-PBE, Alexandria) and Cu Kα, 1.54184 Å.
Lines closer than 0.1° are merged.

Atomic structure:
```
30
Lattice="7.744 0.000 0.000 -3.872 6.707 0.000 0.000 0.000 21.516" Properties=species:S:1:pos:R:3 pbc="T T T"
Na 0.000 0.000 3.452
Na 0.000 0.000 7.306
Na 0.000 0.000 14.210
Na 0.000 0.000 18.064
Pa 0.000 4.471 3.774
Pa 0.000 4.471 10.694
Pa 0.000 4.471 14.532
Pa 0.000 4.471 21.452
Pa 3.872 2.236 0.064
Pa 3.872 2.236 6.984
Pa 3.872 2.236 10.822
Pa 3.872 2.236 17.742
Te -1.322 2.291 5.379
Te -2.550 4.416 16.137
Te -1.372 2.470 12.583
Te -2.419 4.284 1.825
Te 2.645 0.000 5.379
Te 1.322 2.291 16.137
Te 1.372 2.470 1.825
Te -1.047 6.660 12.583
Te 2.825 0.047 19.692
Te 1.453 2.423 8.934
Te 2.419 4.284 12.583
Te 1.047 6.660 1.825
Te 4.919 0.047 8.934
Te 2.500 4.237 19.692
Te 5.099 0.000 16.137
Te 2.550 4.416 5.379
Te 6.291 2.423 19.692
Te 5.244 4.237 8.934
```

Peak list (10 most intense, 10° ≤ 2θ ≤ 90°, in order of rising 2θ)
d (Å)	I/Imax
6.707	53
5.691	37
4.196	26
3.407	82
2.631	100
2.236	57
2.034	19
1.704	25
1.399	23
1.355	23

***

Diffraction record for Th3Al4Zn2. The X-ray powder pattern is simulated, not measured: it uses a DFT-relaxed cell (GGA-PBE, Alexandria) and Cu Kα, 1.54184 Å.
Lines closer than 0.1° are merged.

Atomic structure:
```
9
Lattice="5.471 -2.273 0.000 5.471 2.273 0.000 -3.030 0.000 8.200" Properties=species:S:1:pos:R:3 pbc="T T T"
Th 0.000 0.000 0.000
Th 2.653 0.000 2.731
Th 5.260 0.000 5.469
Al -0.544 0.000 3.197
Al 0.192 0.000 7.731
Al 7.721 0.000 0.469
Al 8.457 0.000 5.003
Zn 2.052 0.000 5.903
Zn 5.861 0.000 2.297
```

Peak list (10 most intense, 10° ≤ 2θ ≤ 90°, in order of rising 2θ)
d (Å)	I/Imax
3.937	58
3.799	10
2.734	100
2.273	40
1.969	9
1.951	11
1.748	27
1.711	12
1.457	20
1.386	25

***

Diffraction record for Mn4V5Fe. The X-ray powder pattern is simulated, not measured: it uses a DFT-relaxed cell (GGA-PBE, Alexandria) and Cu Kα, 1.54184 Å.
Lines closer than 0.1° are merged.

Atomic structure:
```
10
Lattice="2.872 0.000 0.000 0.000 2.872 0.000 0.000 0.000 14.316" Properties=species:S:1:pos:R:3 pbc="T T T"
Mn 0.000 0.000 1.435
Mn 0.000 0.000 4.311
Mn 0.000 0.000 10.004
Mn 0.000 0.000 12.881
V 1.436 1.436 0.000
V 1.436 1.436 2.859
V 1.436 1.436 5.709
V 1.436 1.436 8.607
V 1.436 1.436 11.457
Fe 0.000 0.000 7.158
```

Peak list (6 most intense, 10° ≤ 2θ ≤ 90°, in order of rising 2θ)
d (Å)	I/Imax
2.869	1
2.029	100
1.436	10
1.432	5
1.172	19
1.170	9

***

Diffraction record for Nd2Ho3Er9. The X-ray powder pattern is simulated, not measured: it uses a DFT-relaxed cell (GGA-PBE, Alexandria) and Cu Kα, 1.54184 Å.
Lines closer than 0.1° are merged.

Atomic structure:
```
14
Lattice="6.358 0.000 0.000 2.746 7.909 0.000 1.075 0.087 8.791" Properties=species:S:1:pos:R:3 pbc="T T T"
Nd 0.000 0.000 0.000
Nd 2.964 5.104 1.730
Ho 3.275 0.839 6.563
Ho 5.920 6.791 0.661
Ho 6.443 4.893 3.598
Er 1.390 2.111 2.185
Er 4.244 7.253 3.952
Er 3.247 3.585 4.698
Er 5.171 5.303 6.892
Er 4.167 2.359 0.242
Er 4.646 0.577 3.253
Er 6.499 2.076 5.739
Er 8.325 6.566 6.109
Er 8.365 3.811 8.020
```

Peak list (10 most intense, 10° ≤ 2θ ≤ 90°, in order of rising 2θ)
d (Å)	I/Imax
2.954	55
2.828	58
2.818	100
2.786	86
2.756	90
2.735	88
2.722	25
2.687	36
1.601	26
1.460	26

***

Diffraction record for Ce5S5N. The X-ray powder pattern is simulated, not measured: it uses a DFT-relaxed cell (GGA-PBE, Alexandria) and Cu Kα, 1.54184 Å.
Lines closer than 0.1° are merged.

Atomic structure:
```
11
Lattice="6.271 -2.796 0.000 6.271 2.796 0.000 -2.506 0.000 7.433" Properties=species:S:1:pos:R:3 pbc="T T T"
Ce 0.000 0.000 0.000
Ce 2.591 0.000 5.093
Ce 3.988 0.000 1.172
Ce 6.047 0.000 6.261
Ce 7.444 0.000 2.340
S -0.014 0.000 6.178
S 1.391 0.000 2.464
S 5.018 0.000 3.717
S 8.644 0.000 4.969
S 10.049 0.000 1.255
N 6.271 0.000 0.000
```

Peak list (10 most intense, 10° ≤ 2θ ≤ 90°, in order of rising 2θ)
d (Å)	I/Imax
7.433	18
3.232	48
3.211	49
2.796	100
2.777	49
1.978	50
1.970	35
1.961	16
1.682	21
1.605	17

***

Diffraction record for TbNi5H7. The X-ray powder pattern is simulated, not measured: it uses a DFT-relaxed cell (GGA-PBE, Alexandria) and Cu Kα, 1.54184 Å.
Lines closer than 0.1° are merged.

Atomic structure:
```
13
Lattice="2.708 -4.217 0.000 2.708 4.217 0.000 -2.322 0.000 4.422" Properties=species:S:1:pos:R:3 pbc="T T T"
Tb 0.000 0.000 0.000
Ni 1.378 2.324 1.606
Ni 0.337 1.336 3.687
Ni 0.337 -1.336 3.687
Ni 2.424 0.000 1.707
Ni 1.378 -2.324 1.606
H 2.207 0.000 0.065
H 1.120 0.000 2.807
H 1.722 2.045 4.378
H 2.680 1.673 2.457
H 2.680 -1.673 2.457
H 4.077 0.000 1.924
H 1.722 -2.045 4.378
```

Peak list (10 most intense, 10° ≤ 2θ ≤ 90°, in order of rising 2θ)
d (Å)	I/Imax
3.052	39
2.560	52
2.425	27
2.396	84
2.375	100
2.273	50
2.219	34
2.211	31
2.084	29
1.943	37